(1)
Structure and computed powder XRD pattern of CaY2NiPb (the GGA-PBE geometry in Alexandria; Cu Kα X-rays).
Intensities are scaled so that the largest is 100.

Cell and atoms:
Unit cell a=5.226 b=5.226 c=5.298 alpha=90.00 beta=90.00 gamma=90.00
Space group P4/mmm (No. 123)
Unique sites:
Ca: 0.000 0.000 0.000 x1
Y: 0.000 0.500 0.500 x2
Ni: 0.000 0.000 0.500 x1
Pb: 0.500 0.500 0.000 x1

Main lines, most intense first (2θ = 10–90°):
| d_spacing | 2θ/deg | intensity | index |
| --- | --- | --- | --- |
| 3.031 | 29.5 | 100 | 1 1 1 |
| 3.721 | 23.9 | 65 | 1 0 1 |
| 2.613 | 34.3 | 62 | 2 0 0 |
| 1.860 | 49.0 | 45 | 2 0 2 |
| 2.649 | 33.8 | 32 | 0 0 2 |
| 2.138 | 42.3 | 30 | 2 1 1 |
| 1.578 | 58.5 | 29 | 3 1 1 |
| 1.515 | 61.2 | 23 | 2 2 2 |
| 1.848 | 49.3 | 22 | 2 2 0 |
| 1.593 | 57.9 | 15 | 1 1 3 |

***

(2)
Structure and computed powder XRD pattern of K5BaF7 (the GGA-PBE geometry in Alexandria; Cu Kα X-rays).
Intensities are scaled so that the largest is 100.

Cell and atoms:
Unit cell a=12.661 b=3.798 c=21.909 alpha=90.00 beta=90.66 gamma=90.00
Space group Cm (No. 8)
Unique sites:
K: 0.000 0.000 0.000 x2
K: 0.002 0.000 0.201 x2
K: 0.041 0.500 0.851 x2
K: 0.048 0.500 0.350 x2
K: 0.083 0.000 0.702 x2
K: 0.091 0.000 0.501 x2
K: 0.267 0.000 0.924 x2
K: 0.271 0.000 0.277 x2
K: 0.314 0.500 0.778 x2
K: 0.323 0.500 0.426 x2
Ba: 0.249 0.500 0.100 x2
Ba: 0.339 0.000 0.607 x2
F: 0.109 0.000 0.101 x2
F: 0.137 0.500 0.967 x2
F: 0.139 0.500 0.235 x2
F: 0.173 0.000 0.814 x2
F: 0.183 0.000 0.389 x2
F: 0.232 0.500 0.670 x2
F: 0.244 0.500 0.536 x2
F: 0.349 0.000 0.033 x2
F: 0.349 0.000 0.168 x2
F: 0.408 0.500 0.888 x2
F: 0.412 0.500 0.313 x2
F: 0.440 0.000 0.729 x2
F: 0.459 0.000 0.461 x2
F: 0.479 0.500 0.600 x2

Main lines, most intense first (2θ = 10–90°):
| d_spacing | 2θ/deg | intensity | index |
| --- | --- | --- | --- |
| 3.256 | 27.4 | 100 | 1 1 -3 |
| 2.739 | 32.7 | 97 | 3 1 -2 |
| 2.729 | 32.8 | 94 | 3 1 2 |
| 2.640 | 34.0 | 86 | 3 1 -3 |
| 3.145 | 28.4 | 76 | 2 0 6 |
| 2.626 | 34.1 | 70 | 3 1 3 |
| 3.179 | 28.1 | 69 | 2 0 -6 |
| 3.587 | 24.8 | 68 | 2 0 5 |
| 5.494 | 16.1 | 64 | 2 0 -2 |
| 1.899 | 47.9 | 54 | 0 2 0 |

***

(3)
Structure and computed powder XRD pattern of HfSc4Al (the GGA-PBE geometry in Alexandria; Cu Kα X-rays).
Intensities are scaled so that the largest is 100.

Cell and atoms:
Unit cell a=8.526 b=4.940 c=6.335 alpha=90.00 beta=90.25 gamma=90.00
Space group C2/m (No. 12)
Unique sites:
Hf: 0.000 0.000 0.000 x2
Sc: 0.166 0.500 0.142 x4
Sc: 0.167 0.500 0.656 x4
Al: 0.000 0.000 0.500 x2

Main lines, most intense first (2θ = 10–90°):
| d_spacing | 2θ/deg | intensity | index |
| --- | --- | --- | --- |
| 2.544 | 35.3 | 100 | 1 1 2 |
| 2.463 | 36.5 | 60 | 3 1 0 |
| 3.544 | 25.1 | 56 | 1 1 -1 |
| 6.335 | 14.0 | 49 | 0 0 1 |
| 4.271 | 20.8 | 31 | 2 0 0 |
| 2.470 | 36.4 | 30 | 0 2 0 |
| 1.439 | 64.8 | 22 | 1 3 2 |
| 1.773 | 51.5 | 22 | 2 2 -2 |
| 2.300 | 39.2 | 16 | 0 2 1 |
| 2.025 | 44.8 | 13 | 2 2 1 |

***

(4)
Structure and computed powder XRD pattern of TiCrMo6 (the GGA-PBE geometry in Alexandria; Cu Kα X-rays).
Intensities are scaled so that the largest is 100.

Cell and atoms:
Unit cell a=7.119 b=5.214 c=7.640 alpha=90.00 beta=105.72 gamma=90.00
Space group C2/m (No. 12)
Unique sites:
Ti: 0.000 0.000 0.000 x2
Cr: 0.000 0.500 0.500 x2
Mo: 0.140 0.000 0.422 x4
Mo: 0.192 0.244 0.793 x8

Main lines, most intense first (2θ = 10–90°):
| d_spacing | 2θ/deg | intensity | index |
| --- | --- | --- | --- |
| 2.127 | 42.5 | 100 | 0 2 2 |
| 2.224 | 40.6 | 75 | 2 0 2 |
| 2.089 | 43.3 | 74 | 2 2 -1 |
| 2.312 | 39.0 | 73 | 2 0 -3 |
| 2.455 | 36.6 | 67 | 0 0 3 |
| 2.075 | 43.6 | 39 | 2 2 0 |
| 3.427 | 26.0 | 33 | 2 0 0 |
| 4.149 | 21.4 | 32 | 1 1 0 |
| 2.158 | 41.9 | 31 | 3 1 -1 |
| 3.489 | 25.5 | 31 | 2 0 -1 |

***

(5)
Structure and computed powder XRD pattern of DyNp2UP4 (the GGA-PBE geometry in Alexandria; Cu Kα X-rays).
Intensities are scaled so that the largest is 100.

Cell and atoms:
Unit cell a=6.858 b=3.939 c=6.863 alpha=90.00 beta=109.26 gamma=90.00
Space group P2/m (No. 10)
Unique sites:
Dy: 0.000 0.000 0.000 x1
Np: 0.000 0.500 0.500 x1
Np: 0.500 0.000 0.500 x1
U: 0.500 0.500 0.000 x1
P: 0.253 0.000 0.752 x2
P: 0.255 0.500 0.252 x2

Main lines, most intense first (2θ = 10–90°):
| d_spacing | 2θ/deg | intensity | index |
| --- | --- | --- | --- |
| 2.797 | 32.0 | 100 | 1 1 1 |
| 3.238 | 27.5 | 53 | 2 0 0 |
| 3.221 | 27.7 | 53 | 1 1 -1 |
| 1.978 | 45.9 | 49 | 3 1 -1 |
| 1.251 | 76.1 | 23 | 4 2 0 |
| 1.690 | 54.3 | 22 | 3 1 1 |
| 1.683 | 54.5 | 17 | 2 2 0 |
| 1.619 | 56.9 | 13 | 4 0 0 |
| 1.686 | 54.4 | 13 | 4 0 -2 |
| 1.610 | 57.2 | 13 | 2 2 -2 |

***

(6)
Structure and computed powder XRD pattern of Tl5InI7 (the GGA-PBE geometry in Alexandria; Cu Kα X-rays).
Intensities are scaled so that the largest is 100.

Cell and atoms:
Unit cell a=30.016 b=4.575 c=16.649 alpha=90.00 beta=90.00 gamma=90.00
Space group Amm2 (No. 38)
Unique sites:
Tl: 0.102 0.000 0.000 x4
Tl: 0.176 0.000 0.721 x4
Tl: 0.250 0.000 0.424 x4
Tl: 0.323 0.000 0.129 x4
Tl: 0.398 0.000 0.849 x4
In: 0.000 0.000 0.251 x2
In: 0.500 0.000 0.599 x2
I: 0.000 0.000 0.887 x2
I: 0.065 0.000 0.663 x4
I: 0.137 0.000 0.363 x4
I: 0.210 0.000 0.070 x4
I: 0.289 0.000 0.779 x4
I: 0.362 0.000 0.486 x4
I: 0.435 0.000 0.186 x4
I: 0.500 0.000 0.963 x2

Main lines, most intense first (2θ = 10–90°):
| d_spacing | 2θ/deg | intensity | index |
| --- | --- | --- | --- |
| 3.436 | 25.9 | 100 | 2 1 3 |
| 3.506 | 25.4 | 75 | 1 1 3 |
| 3.421 | 26.0 | 71 | 8 0 2 |
| 2.286 | 39.4 | 67 | 0 2 0 |
| 2.660 | 33.7 | 59 | 9 1 1 |
| 3.329 | 26.8 | 54 | 3 1 3 |
| 2.482 | 36.2 | 48 | 10 1 1 |
| 3.811 | 23.3 | 46 | 7 0 2 |
| 2.371 | 38.0 | 37 | 6 1 5 |
| 2.602 | 34.5 | 34 | 4 0 6 |

***

Repeat the fourth record exactly.
Structure and computed powder XRD pattern of TiCrMo6 (the GGA-PBE geometry in Alexandria; Cu Kα X-rays).
Intensities are scaled so that the largest is 100.

Cell and atoms:
Unit cell a=7.119 b=5.214 c=7.640 alpha=90.00 beta=105.72 gamma=90.00
Space group C2/m (No. 12)
Unique sites:
Ti: 0.000 0.000 0.000 x2
Cr: 0.000 0.500 0.500 x2
Mo: 0.140 0.000 0.422 x4
Mo: 0.192 0.244 0.793 x8

Main lines, most intense first (2θ = 10–90°):
| d_spacing | 2θ/deg | intensity | index |
| --- | --- | --- | --- |
| 2.127 | 42.5 | 100 | 0 2 2 |
| 2.224 | 40.6 | 75 | 2 0 2 |
| 2.089 | 43.3 | 74 | 2 2 -1 |
| 2.312 | 39.0 | 73 | 2 0 -3 |
| 2.455 | 36.6 | 67 | 0 0 3 |
| 2.075 | 43.6 | 39 | 2 2 0 |
| 3.427 | 26.0 | 33 | 2 0 0 |
| 4.149 | 21.4 | 32 | 1 1 0 |
| 2.158 | 41.9 | 31 | 3 1 -1 |
| 3.489 | 25.5 | 31 | 2 0 -1 |